Starting from the PBE geometry in the Materials Project, the PXRD pattern of RbLaSiC4N8 was simulated for CuKα.
Intensities are scaled so that the largest is 100.

Largest 10 diffraction maxima, by angle, 2θ from 10° to 90°:
2theta	d [Å]	intensity
14.53	6.097	64
16.38	5.410	82
20.60	4.311	58
26.44	3.371	76
29.30	3.048	73
29.60	3.018	100
33.75	2.656	26
39.87	2.261	28
42.13	2.145	73
60.94	1.520	26

Cell and atoms:
a b c (Å): 7.017 7.017 7.017
angles (deg): 104.19 104.19 120.65
Positions (direct):
Rb 0.000 0.000 0.000
La 0.250 0.750 0.500
Si 0.750 0.250 0.500
C 0.089 0.176 0.530
C 0.441 0.911 0.087
C 0.646 0.559 0.470
C 0.824 0.354 0.913
N 0.007 0.291 0.479
N 0.169 0.069 0.574
N 0.405 0.831 0.900
N 0.472 0.993 0.284
N 0.495 0.595 0.426
N 0.709 0.188 0.716
N 0.812 0.528 0.521
N 0.931 0.505 0.100